Structure and simulated X-ray diffraction stick pattern of CaAs5 (a DFT-relaxed cell (PBE, Alexandria); Cu Ka).

Lattice parameters (Å, degrees): 10.099 3.609 8.328 90.00 101.75 90.00
Sites, in units of the cell vectors:
Ca1 0.000 0.000 0.000
Ca2 0.500 0.500 0.000
As1 0.149 0.500 0.765
As2 0.257 0.500 0.341
As3 0.300 0.000 0.157
As4 0.335 0.000 0.732
As5 0.473 0.500 0.590
As6 0.649 0.000 0.765
As7 0.757 0.000 0.341
As8 0.800 0.500 0.157
As9 0.835 0.500 0.732
As10 0.973 0.000 0.590

Principal peaks in the range 10° ≤ 2θ ≤ 90°, sorted by position:
| Position (°2θ) | intensity |
| --- | --- |
| 31.2 | 47 |
| 33.2 | 100 |
| 36.9 | 84 |
| 40.2 | 79 |
| 44.2 | 43 |
| 50.6 | 45 |


Structure and simulated X-ray diffraction stick pattern of KNaSnSe3 (a DFT-relaxed cell (PBE, Alexandria); Cu Ka).

Lattice parameters (Å, degrees): 6.321 6.321 10.617 97.85 97.85 84.54
Sites, in units of the cell vectors:
K1 0.201 0.201 0.103
K2 0.799 0.799 0.897
Na1 0.213 0.787 0.500
Na2 0.787 0.213 0.500
Sn1 0.418 0.418 0.712
Sn2 0.582 0.582 0.288
Se1 0.217 0.721 0.205
Se2 0.264 0.264 0.495
Se3 0.279 0.783 0.795
Se4 0.721 0.217 0.205
Se5 0.736 0.736 0.505
Se6 0.783 0.279 0.795

Principal peaks in the range 10° ≤ 2θ ≤ 90°, sorted by position:
| Position (°2θ) | intensity |
| --- | --- |
| 14.2 | 57 |
| 20.8 | 70 |
| 23.3 | 100 |
| 28.6 | 65 |
| 30.9 | 55 |
| 41.2 | 65 |